The following is a calculated powder diffractogram of V2NiPt9. It was derived from a structure optimized by DFT (PBE), using Cu Kα X-rays.

Top 12 peaks for 10° ≤ 2θ ≤ 90°, sorted by position:
Position (°2θ)	I (rel.)	(hkl)
22.76	15	0 0 3
32.41	12	1 0 3
39.97	100	1 1 3
46.49	49	2 0 0
52.37	7	1 0 6
57.81	5	1 1 6
67.86	32	2 2 0
72.60	3	2 1 6
77.19	2	3 0 3
81.73	26	3 1 3
81.84	13	1 1 9
86.25	11	2 2 6

Atomic structure:
```
data_V2NiPt9
_chemical_formula_sum 'V2 Ni1 Pt9'
_symmetry_space_group_name_H-M 'P 4/m m m'
_symmetry_Int_Tables_number 123
_symmetry_space_group_name_Hall '-P 4 2'
_cell_length_a 3.908
_cell_length_b 3.908
_cell_length_c 11.708
_cell_angle_alpha 90.00
_cell_angle_beta 90.00
_cell_angle_gamma 90.00
loop_
_atom_site_label
_atom_site_fract_x
_atom_site_fract_y
_atom_site_fract_z
V1 0.000 0.000 0.175
Ni1 0.000 0.000 0.500
Pt1 0.000 0.500 0.000
Pt2 0.000 0.500 0.331
Pt3 0.500 0.500 0.165
Pt4 0.500 0.500 0.500
```

The following is a calculated powder diffractogram of VNi4Pt4. It was derived from a structure optimized by DFT (PBE), using Cu Kα X-rays.

Top 12 peaks for 10° ≤ 2θ ≤ 90°, sorted by position:
Position (°2θ)	I (rel.)	(hkl)
20.37	13	1 0 0
26.67	11	1 1 1
30.63	10	1 -1 0
41.56	100	0 2 1
47.87	17	1 2 -1
48.06	17	1 1 3
49.18	15	2 -1 0
70.17	10	2 3 2
71.07	11	1 -3 1
84.83	13	1 4 0
85.12	12	1 3 4
86.81	11	-2 3 1

Atomic structure:
```
data_VNi4Pt4
_chemical_formula_sum 'V1 Ni4 Pt4'
_symmetry_space_group_name_H-M 'P 1'
_symmetry_Int_Tables_number 1
_symmetry_space_group_name_Hall 'P 1'
_cell_length_a 4.575
_cell_length_b 4.632
_cell_length_c 5.990
_cell_angle_alpha 82.74
_cell_angle_beta 74.85
_cell_angle_gamma 79.30
loop_
_atom_site_label
_atom_site_fract_x
_atom_site_fract_y
_atom_site_fract_z
V1 0.000 0.000 0.000
Ni1 0.107 0.227 0.558
Ni2 0.223 0.462 0.112
Ni3 0.326 0.682 0.667
Ni4 0.884 0.774 0.447
Pt1 0.421 0.899 0.233
Pt2 0.537 0.121 0.777
Pt3 0.681 0.331 0.334
Pt4 0.798 0.557 0.884
```

Please write out number 2 again, unchanged.
The following is a calculated powder diffractogram of VNi4Pt4. It was derived from a structure optimized by DFT (PBE), using Cu Kα X-rays.

Top 12 peaks for 10° ≤ 2θ ≤ 90°, sorted by position:
Position (°2θ)	I (rel.)	(hkl)
20.37	13	1 0 0
26.67	11	1 1 1
30.63	10	1 -1 0
41.56	100	0 2 1
47.87	17	1 2 -1
48.06	17	1 1 3
49.18	15	2 -1 0
70.17	10	2 3 2
71.07	11	1 -3 1
84.83	13	1 4 0
85.12	12	1 3 4
86.81	11	-2 3 1

Atomic structure:
```
data_VNi4Pt4
_chemical_formula_sum 'V1 Ni4 Pt4'
_symmetry_space_group_name_H-M 'P 1'
_symmetry_Int_Tables_number 1
_symmetry_space_group_name_Hall 'P 1'
_cell_length_a 4.575
_cell_length_b 4.632
_cell_length_c 5.990
_cell_angle_alpha 82.74
_cell_angle_beta 74.85
_cell_angle_gamma 79.30
loop_
_atom_site_label
_atom_site_fract_x
_atom_site_fract_y
_atom_site_fract_z
V1 0.000 0.000 0.000
Ni1 0.107 0.227 0.558
Ni2 0.223 0.462 0.112
Ni3 0.326 0.682 0.667
Ni4 0.884 0.774 0.447
Pt1 0.421 0.899 0.233
Pt2 0.537 0.121 0.777
Pt3 0.681 0.331 0.334
Pt4 0.798 0.557 0.884
```